The following is a simulated powder diffractogram of ScZnCu. It was derived from a cell relaxed with GGA-PBE, using Cu Ka.
Peak positions follow from Bragg's law for the DFT cell and can differ from measured ones.

Peak list (10 most intense, 2θ = 10–80°, sorted by position)
2θ = 19.96°, d = 4.447 Å, I 25, (0 1 1); 2θ = 38.29°, d = 2.350 Å, I 74, (3 1 1); 2θ = 41.25°, d = 2.188 Å, I 49, (2 2 0); 2θ = 41.48°, d = 2.177 Å, I 99, (2 1 3); 2θ = 42.06°, d = 2.148 Å, I 100, (1 2 2); 2θ = 42.36°, d = 2.134 Å, I 47, (1 0 4); 2θ = 43.54°, d = 2.078 Å, I 43, (4 0 0); 2θ = 46.30°, d = 1.961 Å, I 33, (2 2 2); 2θ = 70.75°, d = 1.332 Å, I 28, (5 2 2); 2θ = 74.23°, d = 1.278 Å, I 25, (0 2 6)

Cell and atoms:
Cell lengths 8.3136, 5.1482, 8.8302 Å; angles 90.00, 90.00, 90.00 degrees
Space group Amm2 (No. 38)
Inequivalent atoms, fractional coordinates:
Sc (0.1862, 0.0000, 0.0000) (multiplicity 4)
Sc (0.3000, 0.0000, 0.3323) (multiplicity 4)
Zn (0.0000, 0.0000, 0.5022) (multiplicity 2)
Zn (0.5000, 0.0000, 0.8362) (multiplicity 2)
Zn (0.5000, 0.2466, 0.0830) (multiplicity 4)
Cu (0.0000, 0.2482, 0.2528) (multiplicity 4)
Cu (0.2496, 0.0000, 0.6676) (multiplicity 4)

***

The following is a simulated powder diffractogram of NbNiAs. It was derived from a cell relaxed with GGA-PBE, using Cu Ka.
Peak positions follow from Bragg's law for the DFT cell and can differ from measured ones.

Peak list (10 most intense, 2θ = 10–80°, sorted by position)
2θ = 37.14°, d = 2.421 Å, I 100, (1 1 2); 2θ = 39.22°, d = 2.297 Å, I 91, (2 1 1); 2θ = 39.47°, d = 2.283 Å, I 20, (1 0 3); 2θ = 44.24°, d = 2.047 Å, I 22, (0 1 3); 2θ = 44.58°, d = 2.032 Å, I 31, (3 0 1); 2θ = 46.62°, d = 1.948 Å, I 17, (1 1 3); 2θ = 48.72°, d = 1.869 Å, I 36, (0 2 0); 2θ = 49.72°, d = 1.834 Å, I 25, (0 0 4); 2θ = 68.16°, d = 1.376 Å, I 16, (3 2 1); 2θ = 72.17°, d = 1.309 Å, I 16, (0 2 4)

Cell and atoms:
Cell lengths 6.3449, 3.7381, 7.3405 Å; angles 90.00, 90.00, 90.00 degrees
Space group Pnma (No. 62)
Inequivalent atoms, fractional coordinates:
Nb (0.0203, 0.2500, 0.1636) (multiplicity 4)
Ni (0.1547, 0.2500, 0.5701) (multiplicity 4)
As (0.2157, 0.7500, 0.3771) (multiplicity 4)

***

The following is a simulated powder diffractogram of Lu5Ge3. It was derived from a cell relaxed with GGA-PBE, using Cu Ka.
Peak positions follow from Bragg's law for the DFT cell and can differ from measured ones.

Peak list (10 most intense, 2θ = 10–80°, sorted by position)
2θ = 24.79°, d = 3.592 Å, I 10, (2 0 0); 2θ = 31.40°, d = 2.849 Å, I 19, (1 0 2); 2θ = 32.99°, d = 2.715 Å, I 22, (2 1 0); 2θ = 36.13°, d = 2.486 Å, I 100, (1 1 2); 2θ = 37.56°, d = 2.394 Å, I 22, (3 0 0); 2θ = 53.12°, d = 1.724 Å, I 13, (2 2 2); 2θ = 55.86°, d = 1.646 Å, I 17, (2 1 3); 2θ = 58.92°, d = 1.567 Å, I 8, (4 1 0); 2θ = 59.47°, d = 1.554 Å, I 12, (4 0 2); 2θ = 72.55°, d = 1.303 Å, I 13, (5 0 2)

Cell and atoms:
Cell lengths 8.2943, 8.2943, 6.2077 Å; angles 90.00, 90.00, 120.00 degrees
Space group P6_3/mcm (No. 193)
Inequivalent atoms, fractional coordinates:
Lu (0.0000, 0.2433, 0.2500) (multiplicity 6)
Lu (0.3333, 0.6667, 0.0000) (multiplicity 4)
Ge (0.0000, 0.3917, 0.7500) (multiplicity 6)

***

The following is a simulated powder diffractogram of La2Ge5Ru3. It was derived from a cell relaxed with GGA-PBE, using Cu Ka.
Peak positions follow from Bragg's law for the DFT cell and can differ from measured ones.

Peak list (10 most intense, 2θ = 10–80°, sorted by position)
2θ = 33.54°, d = 2.672 Å, I 66, (2 4 0); 2θ = 33.80°, d = 2.652 Å, I 100, (3 2 1); 2θ = 35.03°, d = 2.561 Å, I 81, (2 0 2); 2θ = 38.11°, d = 2.361 Å, I 21, (1 3 2); 2θ = 39.53°, d = 2.279 Å, I 25, (4 1 1); 2θ = 41.74°, d = 2.164 Å, I 92, (0 4 2); 2θ = 53.71°, d = 1.707 Å, I 26, (3 6 1); 2θ = 55.77°, d = 1.648 Å, I 24, (3 2 3); 2θ = 62.41°, d = 1.488 Å, I 21, (0 0 4); 2θ = 63.69°, d = 1.461 Å, I 18, (6 0 2)

Cell and atoms:
Cell lengths 10.0651, 12.6136, 5.9514 Å; angles 90.00, 90.00, 90.00 degrees
Space group Ibam (No. 72)
Inequivalent atoms, fractional coordinates:
La (0.2318, 0.1356, 0.0000) (multiplicity 8)
Ge (0.0000, 0.0000, 0.2500) (multiplicity 4)
Ge (0.0000, 0.2883, 0.2500) (multiplicity 8)
Ge (0.1683, 0.4079, 0.0000) (multiplicity 8)
Ru (0.0000, 0.5000, 0.2500) (multiplicity 4)
Ru (0.0943, 0.1452, 0.5000) (multiplicity 8)

***

The following is a simulated powder diffractogram of PmErAl2. It was derived from a cell relaxed with GGA-PBE, using Cu Ka.
Peak positions follow from Bragg's law for the DFT cell and can differ from measured ones.

Peak list (9 most intense, 2θ = 10–80°, sorted by position)
2θ = 21.23°, d = 4.186 Å, I 1, (1 1 1); 2θ = 24.56°, d = 3.625 Å, I 61, (2 0 0); 2θ = 35.00°, d = 2.563 Å, I 100, (2 2 0); 2θ = 43.23°, d = 2.093 Å, I 19, (2 2 2); 2θ = 50.34°, d = 1.813 Å, I 18, (4 0 0); 2θ = 56.79°, d = 1.621 Å, I 25, (4 2 0); 2θ = 62.79°, d = 1.480 Å, I 37, (4 2 2); 2θ = 73.95°, d = 1.282 Å, I 11, (4 4 0); 2θ = 79.28°, d = 1.208 Å, I 12, (6 0 0)

Cell and atoms:
Cell lengths 7.2503, 7.2503, 7.2503 Å; angles 90.00, 90.00, 90.00 degrees
Space group Fm-3m (No. 225)
Inequivalent atoms, fractional coordinates:
Pm (0.0000, 0.0000, 0.0000) (multiplicity 4)
Er (0.0000, 0.0000, 0.5000) (multiplicity 4)
Al (0.2500, 0.2500, 0.2500) (multiplicity 8)

***

The following is a simulated powder diffractogram of PtBr3N2. It was derived from a cell relaxed with GGA-PBE, using Cu Ka.
Peak positions follow from Bragg's law for the DFT cell and can differ from measured ones.

Peak list (10 most intense, 2θ = 10–80°, sorted by position)
2θ = 14.27°, d = 6.206 Å, I 98, (1 1 0); 2θ = 18.44°, d = 4.811 Å, I 72, (1 1 2); 2θ = 19.71°, d = 4.505 Å, I 63, (0 2 1); 2θ = 20.24°, d = 4.388 Å, I 61, (2 0 1); 2θ = 21.00°, d = 4.230 Å, I 18, (0 0 2); 2θ = 25.60°, d = 3.479 Å, I 50, (2 2 2); 2θ = 30.99°, d = 2.886 Å, I 100, (2 -2 0); 2θ = 35.77°, d = 2.511 Å, I 23, (1 -1 3); 2θ = 37.35°, d = 2.407 Å, I 29, (1 1 4); 2θ = 44.06°, d = 2.055 Å, I 21, (-3 1 2)

Cell and atoms:
Cell lengths 9.1363, 9.3255, 9.8156 Å; angles 65.71, 67.77, 77.52 degrees
Space group P1 (No. 1)
Inequivalent atoms, fractional coordinates:
Pt (0.0000, 0.0000, 0.0000) (multiplicity 1)
Pt (0.2035, 0.6983, 0.5381) (multiplicity 1)
Pt (0.4555, 0.4426, 0.0178) (multiplicity 1)
Pt (0.7545, 0.2419, 0.5020) (multiplicity 1)
Br (0.0620, 0.5687, 0.8234) (multiplicity 1)
Br (0.0765, 0.0595, 0.7205) (multiplicity 1)
Br (0.2300, 0.6507, 0.0310) (multiplicity 1)
Br (0.3310, 0.2970, 0.3088) (multiplicity 1)
Br (0.3396, 0.8232, 0.2420) (multiplicity 1)
Br (0.4017, 0.4671, 0.5493) (multiplicity 1)
Br (0.4967, 0.9834, 0.8140) (multiplicity 1)
Br (0.5842, 0.6020, 0.7339) (multiplicity 1)
Br (0.6686, 0.2223, 0.9927) (multiplicity 1)
Br (0.7404, 0.7385, 0.3075) (multiplicity 1)
Br (0.8038, 0.3242, 0.2225) (multiplicity 1)
Br (0.9717, 0.8990, 0.5087) (multiplicity 1)
N (0.0862, 0.5820, 0.4808) (multiplicity 1)
N (0.1024, 0.1096, 0.0318) (multiplicity 1)
N (0.3133, 0.8282, 0.5605) (multiplicity 1)
N (0.3270, 0.3086, 0.0167) (multiplicity 1)
N (0.5889, 0.5332, 0.0752) (multiplicity 1)
N (0.6064, 0.0934, 0.6172) (multiplicity 1)
N (0.8540, 0.8494, 0.1129) (multiplicity 1)
N (0.8666, 0.3392, 0.5373) (multiplicity 1)

***

The following is a simulated powder diffractogram of Sr2YCu2BiPbO8. It was derived from a cell relaxed with GGA-PBE, using Cu Ka.
Peak positions follow from Bragg's law for the DFT cell and can differ from measured ones.

Peak list (10 most intense, 2θ = 10–80°, sorted by position)
2θ = 22.37°, d = 3.974 Å, I 27, (0 8 0); 2θ = 24.67°, d = 3.608 Å, I 54, (1 3 0); 2θ = 27.14°, d = 3.286 Å, I 100, (1 5 0); 2θ = 28.06°, d = 3.179 Å, I 29, (0 10 0); 2θ = 30.49°, d = 2.931 Å, I 92, (1 7 0); 2θ = 32.87°, d = 2.724 Å, I 63, (0 0 2); 2θ = 33.14°, d = 2.703 Å, I 49, (2 0 -2); 2θ = 34.51°, d = 2.599 Å, I 43, (1 9 0); 2θ = 43.93°, d = 2.061 Å, I 41, (2 10 -2); 2θ = 47.38°, d = 1.919 Å, I 48, (2 0 0)

Cell and atoms:
Cell lengths 5.4057, 31.7946, 7.6703 Å; angles 90.00, 134.73, 90.00 degrees
Space group P2_1/c (No. 14)
Inequivalent atoms, fractional coordinates:
Sr (0.2133, 0.1387, 0.2457) (multiplicity 4)
Sr (0.2233, 0.1385, 0.7546) (multiplicity 4)
Y (0.2289, 0.2500, 0.2508) (multiplicity 4)
Cu (0.2749, 0.6989, 0.2485) (multiplicity 4)
Cu (0.2757, 0.6964, 0.7491) (multiplicity 4)
Bi (0.2783, 0.5548, 0.2199) (multiplicity 4)
Pb (0.3160, 0.5543, 0.7663) (multiplicity 4)
O (0.1800, 0.0600, 0.6618) (multiplicity 4)
O (0.2214, 0.2043, 0.4798) (multiplicity 4)
O (0.2285, 0.2025, 0.0242) (multiplicity 4)
O (0.2347, 0.7040, 0.9804) (multiplicity 4)
O (0.2619, 0.6238, 0.7378) (multiplicity 4)
O (0.2815, 0.6206, 0.2701) (multiplicity 4)
O (0.3166, 0.7029, 0.5176) (multiplicity 4)
O (0.3712, 0.0615, 0.3205) (multiplicity 4)

***

The following is a simulated powder diffractogram of Ce6Mg23Ge. It was derived from a cell relaxed with GGA-PBE, using Cu Ka.
Peak positions follow from Bragg's law for the DFT cell and can differ from measured ones.

Peak list (10 most intense, 2θ = 10–80°, sorted by position)
2θ = 10.71°, d = 8.264 Å, I 42, (1 1 1); 2θ = 12.37°, d = 7.157 Å, I 34, (2 0 0); 2θ = 21.51°, d = 4.132 Å, I 43, (2 2 2); 2θ = 24.88°, d = 3.578 Å, I 39, (4 0 0); 2θ = 30.60°, d = 2.922 Å, I 24, (4 2 2); 2θ = 32.50°, d = 2.755 Å, I 100, (3 3 3); 2θ = 35.48°, d = 2.530 Å, I 83, (4 4 0); 2θ = 45.24°, d = 2.004 Å, I 30, (5 5 1); 2θ = 54.39°, d = 1.687 Å, I 25, (8 2 2); 2θ = 67.71°, d = 1.384 Å, I 28, (7 7 3)

Cell and atoms:
Cell lengths 14.3139, 14.3139, 14.3139 Å; angles 90.00, 90.00, 90.00 degrees
Space group Fm-3m (No. 225)
Inequivalent atoms, fractional coordinates:
Ce (0.0000, 0.0000, 0.2061) (multiplicity 24)
Mg (0.0000, 0.0000, 0.5000) (multiplicity 4)
Mg (0.0000, 0.2500, 0.2500) (multiplicity 24)
Mg (0.1217, 0.1217, 0.3783) (multiplicity 32)
Mg (0.1681, 0.1681, 0.1681) (multiplicity 32)
Ge (0.0000, 0.0000, 0.0000) (multiplicity 4)